[1]
# HfPd3
Theoretical powder diffractogram, λ = 1.5418 Å (Cu Kα). Input: a crystal structure in the Materials Project, relaxed with PBE.

Largest 12 diffraction maxima, sorted by position, 2θ from 10° to 90°:
22.13 deg, I 5, hkl 1 0 0; 31.49 deg, I 5, hkl 1 1 0; 38.83 deg, I 100, hkl 1 1 1; 45.14 deg, I 49, hkl 2 0 0; 50.82 deg, I 3, hkl 2 1 0; 56.08 deg, I 2, hkl 2 1 1; 65.75 deg, I 31, hkl 2 2 0; 70.30 deg, I 1, hkl 3 0 0; 74.72 deg, I 1, hkl 3 1 0; 79.06 deg, I 37, hkl 3 1 1; 83.33 deg, I 11, hkl 2 2 2; 87.56 deg, I 1, hkl 3 2 0

Atomic structure:
Cell: 4.017 4.017 4.017 Å, 90.00 90.00 90.00°
Element x y z (fractional)
Hf 0.000 0.000 0.000
Pd 0.000 0.500 0.500
Pd 0.500 0.000 0.500
Pd 0.500 0.500 0.000

[2]
# Hf2RePd
Theoretical powder diffractogram, λ = 1.5418 Å (Cu Kα). Input: a crystal structure in the Materials Project, relaxed with PBE.

Largest 10 diffraction maxima, sorted by position, 2θ from 10° to 90°:
23.36 deg, I 3, hkl 1 1 1; 27.04 deg, I 1, hkl 2 0 0; 38.62 deg, I 100, hkl 2 2 0; 45.63 deg, I 2, hkl 3 1 1; 55.76 deg, I 17, hkl 4 0 0; 61.27 deg, I 1, hkl 3 3 1; 69.88 deg, I 35, hkl 4 2 2; 74.81 deg, I 1, hkl 5 1 1; 82.80 deg, I 11, hkl 4 4 0; 87.51 deg, I 1, hkl 5 3 1

Atomic structure:
Cell: 6.595 6.595 6.595 Å, 90.00 90.00 90.00°
Element x y z (fractional)
Hf 0.250 0.250 0.250
Hf 0.250 0.250 0.750
Hf 0.250 0.750 0.250
Hf 0.250 0.750 0.750
Hf 0.750 0.250 0.250
Hf 0.750 0.250 0.750
Hf 0.750 0.750 0.250
Hf 0.750 0.750 0.750
Re 0.000 0.000 0.000
Re 0.000 0.500 0.500
Re 0.500 0.000 0.500
Re 0.500 0.500 0.000
Pd 0.000 0.000 0.500
Pd 0.000 0.500 0.000
Pd 0.500 0.000 0.000
Pd 0.500 0.500 0.500

[3]
# Hf2Sb3Pd
Theoretical powder diffractogram, λ = 1.5418 Å (Cu Kα). Input: a crystal structure in the Materials Project, relaxed with PBE.

Largest 12 diffraction maxima, sorted by position, 2θ from 10° to 90°:
24.81 deg, I 35, hkl 1 0 1; 30.72 deg, I 22, hkl 1 0 2; 31.14 deg, I 29, hkl 0 0 3; 32.06 deg, I 35, hkl 1 1 0; 33.75 deg, I 86, hkl 1 1 1; 38.43 deg, I 100, hkl 1 1 2; 38.78 deg, I 91, hkl 1 0 3; 45.98 deg, I 66, hkl 2 0 0; 56.58 deg, I 21, hkl 2 0 3; 61.67 deg, I 47, hkl 2 1 3; 67.06 deg, I 21, hkl 2 2 0; 80.03 deg, I 24, hkl 3 1 2

Atomic structure:
Cell: 3.948 3.948 8.615 Å, 90.00 90.00 90.00°
Element x y z (fractional)
Hf 0.000 0.500 0.239
Hf 0.500 0.000 0.761
Sb 0.000 0.500 0.882
Sb 0.500 0.000 0.118
Sb 0.500 0.500 0.500
Pd 0.000 0.000 0.500

[4]
# Hf2TcPd
Theoretical powder diffractogram, λ = 1.5418 Å (Cu Kα). Input: a crystal structure in the Materials Project, relaxed with PBE.

Largest 8 diffraction maxima, sorted by position, 2θ from 10° to 90°:
27.11 deg, I 8, hkl 2 0 0; 38.71 deg, I 100, hkl 2 2 0; 47.89 deg, I 2, hkl 2 2 2; 55.90 deg, I 17, hkl 4 0 0; 63.20 deg, I 3, hkl 4 2 0; 70.06 deg, I 35, hkl 4 2 2; 83.03 deg, I 11, hkl 4 4 0; 89.34 deg, I 2, hkl 6 0 0

Atomic structure:
Cell: 6.580 6.580 6.580 Å, 90.00 90.00 90.00°
Element x y z (fractional)
Hf 0.250 0.250 0.250
Hf 0.250 0.250 0.750
Hf 0.250 0.750 0.250
Hf 0.250 0.750 0.750
Hf 0.750 0.250 0.250
Hf 0.750 0.250 0.750
Hf 0.750 0.750 0.250
Hf 0.750 0.750 0.750
Tc 0.000 0.000 0.000
Tc 0.000 0.500 0.500
Tc 0.500 0.000 0.500
Tc 0.500 0.500 0.000
Pd 0.000 0.000 0.500
Pd 0.000 0.500 0.000
Pd 0.500 0.000 0.000
Pd 0.500 0.500 0.500